No. 1
Theoretical XRD peak list of GeCl2F for Cu Kα (λ = 1.5418 Å), from a structure optimized by DFT (GGA-PBE).

Structure:
```
GeCl2F
1.0
7.256 0.000 0.000
0.000 8.000 0.000
-0.012 0.000 3.897
Ge Cl F
2 4 2
Cartesian
0.000 0.000 0.000
3.628 4.000 0.000
1.787 6.729 0.006
1.830 2.729 3.891
5.415 2.729 0.006
5.457 6.729 3.891
-0.006 0.547 1.949
3.622 4.547 1.949
```

The 10 most intense peaks (2θ from 15° to 90°), most intense first:
d [Å], I_rel
5.374, 100
3.897, 43
2.687, 39
2.212, 23
3.155, 20
4.000, 17
2.791, 16
1.598, 14
1.752, 11
1.832, 10

No. 2
Theoretical XRD peak list of GeCl3F4 for Cu Kα (λ = 1.5418 Å), from a structure optimized by DFT (GGA-PBE).

Structure:
```
GeCl3F4
1.0
8.432 0.000 0.000
0.000 3.875 0.000
-0.532 0.000 12.434
Ge Cl F
2 6 8
Cartesian
0.068 0.000 3.219
7.832 1.938 9.215
2.841 3.861 12.126
3.199 3.850 9.389
3.476 3.840 7.383
4.424 1.902 5.051
4.701 1.912 3.045
5.059 1.924 0.308
0.067 1.942 3.218
0.106 1.943 10.775
0.373 1.943 7.808
1.773 0.005 3.370
6.128 1.943 9.064
7.527 0.005 4.626
7.794 0.005 1.659
7.833 0.004 9.216
```

The 10 most intense peaks (2θ from 15° to 90°), most intense first:
d [Å], I_rel
3.372, 100
4.212, 98
3.403, 75
5.108, 74
4.903, 62
1.938, 27
2.852, 25
3.109, 21
1.850, 18
3.521, 18

No. 3
Theoretical XRD peak list of GeClF for Cu Kα (λ = 1.5418 Å), from a structure optimized by DFT (GGA-PBE).

Structure:
```
GeClF
1.0
4.441 0.000 0.000
0.000 4.466 0.000
-0.223 0.000 7.312
Ge Cl F
2 2 2
Cartesian
0.446 0.000 2.304
3.771 2.233 5.008
0.933 3.468 6.092
3.285 1.235 1.221
0.705 1.455 3.663
3.513 3.688 3.649
```

The 10 most intense peaks (2θ from 15° to 90°), most intense first:
d [Å], I_rel
3.811, 100
2.867, 73
4.439, 59
2.914, 47
2.361, 46
2.829, 41
3.148, 32
1.918, 24
1.646, 23
1.458, 22

No. 4
Theoretical XRD peak list of GeCl3F for Cu Kα (λ = 1.5418 Å), from a structure optimized by DFT (GGA-PBE).

Structure:
```
GeCl3F
1.0
-7.183 2.667 5.653
7.183 -2.667 5.653
7.183 2.667 -5.653
Ge Cl F
2 6 2
Cartesian
3.592 0.469 0.000
3.592 2.198 5.653
3.592 -0.118 2.035
10.775 0.118 2.035
-5.349 2.510 4.639
-1.834 2.510 4.639
1.834 2.824 4.639
5.349 2.824 4.639
3.592 2.213 -0.031
3.592 0.455 5.622
```

The 10 most intense peaks (2θ from 15° to 90°), most intense first:
d [Å], I_rel
4.824, 100
5.653, 57
4.005, 42
4.443, 31
3.032, 20
2.881, 17
3.746, 16
1.801, 16
1.684, 15
2.001, 15

No. 5
Theoretical XRD peak list of Ge3Cl5F for Cu Kα (λ = 1.5418 Å), from a structure optimized by DFT (GGA-PBE).

Structure:
```
Ge3Cl5F
1.0
6.497 -4.427 0.000
6.497 4.427 0.000
-1.425 0.000 9.674
Ge Cl F
6 10 2
Cartesian
0.000 0.000 0.000
0.017 0.000 5.752
3.848 0.000 3.022
4.223 0.000 8.528
7.589 0.000 6.366
9.156 0.000 2.632
2.571 1.689 2.017
3.919 2.751 8.469
0.576 0.000 8.126
2.304 0.000 5.324
6.261 1.706 5.403
2.571 -1.689 2.017
5.908 0.000 1.211
3.919 -2.751 8.469
6.261 -1.706 5.403
11.453 0.000 2.817
6.076 0.000 8.208
8.875 0.000 4.536
```

The 10 most intense peaks (2θ from 15° to 90°), most intense first:
d [Å], I_rel
5.026, 100
4.168, 92
4.427, 83
3.322, 75
3.225, 33
2.431, 29
2.438, 27
3.192, 27
1.872, 25
2.213, 24

No. 6
Theoretical XRD peak list of Tl2GeCl5F for Cu Kα (λ = 1.5418 Å), from a structure optimized by DFT (GGA-PBE).

Structure:
```
Tl2GeCl5F
1.0
-3.531 3.531 4.909
3.531 -3.531 4.909
3.531 3.531 -4.909
Tl Ge Cl F
2 1 5 1
Cartesian
3.531 0.000 0.000
0.000 3.531 0.000
0.000 0.000 2.500
0.000 0.000 0.186
1.880 1.880 -2.392
1.651 -1.651 2.517
-1.651 1.651 2.517
1.651 1.651 2.517
0.000 0.000 4.322
```

The 10 most intense peaks (2θ from 15° to 90°), most intense first:
d [Å], I_rel
3.501, 100
2.866, 89
2.497, 51
2.033, 45
4.993, 43
3.531, 42
1.750, 31
2.454, 23
1.503, 23
5.733, 21

No. 7
Theoretical XRD peak list of H2ClF for Cu Kα (λ = 1.5418 Å), from a structure optimized by DFT (GGA-PBE).

Structure:
```
H2ClF
1.0
4.188 0.000 0.000
-2.094 3.627 0.000
0.000 0.000 12.235
H Cl F
6 3 3
Cartesian
-0.203 0.411 1.160
-1.637 3.597 5.238
0.457 0.030 11.076
1.839 3.246 9.317
1.892 3.216 2.919
3.934 0.381 6.997
-1.481 2.565 4.078
0.613 1.062 0.000
2.962 0.000 8.157
-1.681 2.912 10.196
0.413 0.715 6.118
3.362 0.000 2.039
```

The 10 most intense peaks (2θ from 15° to 90°), most intense first:
d [Å], I_rel
3.120, 100
2.338, 37
3.627, 21
3.477, 19
2.094, 16
1.739, 11
1.461, 9
1.863, 9
2.039, 9
1.560, 8

No. 8
Theoretical XRD peak list of H2Cl6F for Cu Kα (λ = 1.5418 Å), from a structure optimized by DFT (GGA-PBE).

Structure:
```
H2Cl6F
1.0
4.235 0.000 0.000
1.851 7.206 0.000
0.295 1.017 8.186
H Cl F
2 6 1
Cartesian
0.000 0.000 0.000
1.063 3.192 0.253
2.464 6.745 1.042
1.803 2.058 2.496
2.503 3.675 3.457
4.322 7.149 5.074
3.741 1.493 5.752
4.731 4.423 7.502
3.159 5.768 4.520
```

The 10 most intense peaks (2θ from 15° to 90°), most intense first:
d [Å], I_rel
3.662, 100
3.377, 85
2.953, 54
2.182, 19
3.758, 13
3.436, 12
1.854, 11
2.312, 11
3.576, 10
5.748, 9

No. 9
Theoretical XRD peak list of HCl2F2 for Cu Kα (λ = 1.5418 Å), from a structure optimized by DFT (GGA-PBE).

Structure:
```
HCl2F2
1.0
3.035 0.000 0.000
0.000 12.197 0.000
-1.398 0.000 5.178
H Cl F
2 4 4
Cartesian
0.694 0.000 0.177
0.943 6.098 5.001
-0.165 3.792 2.177
-0.158 2.544 3.805
1.795 8.642 1.373
1.802 9.890 3.001
0.291 11.307 0.178
1.261 1.400 0.187
0.376 7.499 4.992
1.346 5.208 5.000
```

The 10 most intense peaks (2θ from 15° to 90°), most intense first:
d [Å], I_rel
3.947, 100
2.849, 65
2.615, 47
3.198, 45
2.816, 40
2.641, 34
2.380, 33
2.628, 32
1.839, 29
2.207, 27

No. 10
Theoretical XRD peak list of HCl2F8 for Cu Kα (λ = 1.5418 Å), from a structure optimized by DFT (GGA-PBE).

Structure:
```
HCl2F8
1.0
5.686 0.000 0.000
-0.414 5.872 0.000
-1.644 -2.773 5.253
H Cl F
1 2 8
Cartesian
0.000 0.000 0.000
0.599 0.164 2.782
3.238 2.672 2.437
0.398 5.306 1.020
0.526 1.800 2.084
0.618 -1.436 3.451
0.312 0.827 4.322
3.437 2.061 0.933
3.265 4.267 1.800
3.233 1.014 3.063
3.438 -2.370 4.562
```

The 10 most intense peaks (2θ from 15° to 90°), most intense first:
d [Å], I_rel
5.253, 100
3.898, 87
2.677, 78
4.201, 77
2.786, 76
2.117, 28
3.490, 24
1.798, 17
2.529, 16
1.661, 15

No. 11
Theoretical XRD peak list of H2Cl3F8 for Cu Kα (λ = 1.5418 Å), from a structure optimized by DFT (GGA-PBE).

Structure:
```
H2Cl3F8
1.0
4.774 -4.362 0.000
4.774 4.362 0.000
-1.654 0.000 11.073
H Cl F
4 6 16
Cartesian
2.139 2.222 9.575
4.927 2.222 7.035
2.966 -2.222 4.038
5.754 -2.222 1.498
4.360 3.947 2.768
3.885 0.715 1.459
4.836 0.715 4.078
3.057 -0.715 6.995
4.009 -0.715 9.614
3.533 -3.947 8.305
3.184 3.547 9.526
3.882 3.547 7.084
1.606 1.439 9.698
3.898 2.583 4.040
4.822 2.583 1.497
2.377 0.801 6.866
3.204 -0.801 1.330
2.433 -1.439 4.161
5.460 1.439 6.912
4.689 0.801 9.744
5.517 -0.801 4.207
3.071 -2.583 9.577
3.995 -2.583 7.033
6.287 -1.439 1.375
4.011 -3.547 3.989
4.709 -3.547 1.548
```

The 10 most intense peaks (2θ from 15° to 90°), most intense first:
d [Å], I_rel
4.721, 100
2.768, 67
2.962, 62
3.996, 53
5.804, 40
2.472, 37
2.902, 35
3.887, 32
5.537, 27
3.163, 21

No. 12
Theoretical XRD peak list of K4H2ClF for Cu Kα (λ = 1.5418 Å), from a structure optimized by DFT (GGA-PBE).

Structure:
```
K4H2ClF
1.0
-4.120 4.127 5.842
4.120 -4.127 5.842
4.120 4.127 -5.842
K H Cl F
8 4 2 2
Cartesian
1.999 2.064 0.105
2.121 -2.064 5.947
0.000 0.159 2.837
4.120 0.159 3.005
0.000 3.968 2.837
4.120 3.968 3.005
1.999 6.191 -0.105
2.121 2.064 5.737
4.120 0.000 0.000
-2.060 2.064 2.921
0.000 0.000 5.842
2.060 2.064 2.921
2.060 2.064 -2.921
2.060 -2.064 2.921
0.000 0.000 0.000
0.000 4.127 0.000
```

The 10 most intense peaks (2θ from 15° to 90°), most intense first:
d [Å], I_rel
2.918, 100
2.063, 63
3.369, 42
1.684, 20
1.305, 17
3.518, 13
2.678, 11
1.760, 10
1.192, 10
2.247, 6

No. 13
Theoretical XRD peak list of HfIn2Cl4F2 for Cu Kα (λ = 1.5418 Å), from a structure optimized by DFT (GGA-PBE).

Structure:
```
HfIn2Cl4F2
1.0
5.903 -3.711 0.000
5.903 3.711 0.000
-1.381 0.000 5.656
Hf In Cl F
1 2 4 2
Cartesian
0.000 0.000 0.000
2.445 0.000 3.961
7.980 0.000 1.695
4.487 1.953 1.031
5.938 1.953 4.626
4.487 -1.953 1.031
5.938 -1.953 4.626
1.186 0.000 1.591
9.239 0.000 4.065
```

The 10 most intense peaks (2θ from 15° to 90°), most intense first:
d [Å], I_rel
3.943, 100
2.891, 73
3.399, 41
3.229, 40
4.611, 37
1.960, 31
3.711, 27
2.710, 24
2.243, 23
2.269, 22